# Pm5PrSm5
Computed powder X-ray diffraction pattern, Cu Kα. Input: a crystal structure in Alexandria, relaxed with GGA-PBE.
Kinematic intensities with the Lorentz-polarization factor, no thermal factor.

The 12 most intense peaks (2θ = 10–90°), in order of falling intensity:
two_theta  d/Å  Rel. int.  hkl
30.92  2.892  100  2 0 -1
31.34  2.854  98  2 2 1
31.64  2.828  95  0 2 2
31.80  2.814  93  2 0 2
31.04  2.881  92  0 2 -1
32.72  2.737  81  0 0 3
33.62  2.666  33  1 -2 0
29.69  3.009  32  1 2 2
43.91  2.062  31  2 -2 0
31.53  2.837  29  1 2 -1
47.01  1.933  26  2 2 4
54.93  1.671  25  4 0 1

Structural model:
abc: 7.0445 7.0496 8.5815
angles: 76.17 76.58 71.64
Space group P-1 (No. 2)
Symmetry-distinct sites (fractional):
Pm  0.0000  0.0000  0.0000
Pm  0.3039  0.7962  0.6479
Pm  0.3571  0.2643  0.7155
Pr  0.0000  0.5000  0.0000
Sm  0.1462  0.6434  0.3557
Sm  0.2273  0.1448  0.2912
Sm  0.5000  0.5000  0.0000

# ErCrAs3
Computed powder X-ray diffraction pattern, Cu Kα. Input: a crystal structure in Alexandria, relaxed with GGA-PBE.
Kinematic intensities with the Lorentz-polarization factor, no thermal factor.

The 12 most intense peaks (2θ = 10–90°), in order of falling intensity:
two_theta  d/Å  Rel. int.  hkl
37.81  2.380  100  4 1 1
35.22  2.548  49  2 2 0
45.76  1.983  47  0 2 2
23.65  3.762  36  1 1 1
35.55  2.525  36  2 0 2
27.02  3.300  26  2 1 1
39.50  2.281  22  3 0 2
61.02  1.518  20  4 1 3
39.20  2.298  19  3 2 0
32.09  2.789  15  0 0 2
77.55  1.231  14  2 4 2
60.81  1.523  13  5 2 2

Structural model:
abc: 11.8977 5.6394 5.5782
angles: 90.00 90.00 90.00
Space group Pbcm (No. 57)
Symmetry-distinct sites (fractional):
Er  0.1872  0.0052  0.2500
Cr  0.4091  0.7500  0.0000
As  0.0020  0.7500  0.0000
As  0.2802  0.0000  0.7500
As  0.4311  0.1079  0.2500

# V6C2N
Computed powder X-ray diffraction pattern, Cu Kα. Input: a crystal structure in Alexandria, relaxed with GGA-PBE.
Kinematic intensities with the Lorentz-polarization factor, no thermal factor.

The 12 most intense peaks (2θ = 10–90°), in order of falling intensity:
two_theta  d/Å  Rel. int.  hkl
41.33  2.184  100  3 0 1
40.01  2.253  19  0 0 2
54.88  1.673  19  0 3 2
64.64  1.442  18  3 3 0
73.58  1.287  15  0 3 3
35.96  2.497  15  3 0 0
78.81  1.214  14  3 3 2
79.68  1.203  12  0 6 1
89.80  1.092  4  6 0 2
86.36  1.127  3  0 0 4
76.25  1.249  2  6 0 0
28.60  3.121  1  1 1 1

Structural model:
abc: 8.6510 8.6510 4.5065
angles: 90.00 90.00 120.00
Space group P-3m1 (No. 164)
Symmetry-distinct sites (fractional):
V  0.1081  0.5540  0.2453
V  0.1115  0.2229  0.2482
V  0.2214  0.4428  0.7554
C  0.0000  0.3337  0.5000
N  0.0000  0.0000  0.5000
N  0.3333  0.6667  0.9984